(1)
This entry pairs a crystal structure of Y4HoSb5 with its simulated X-ray diffraction stick pattern. Radiation: copper Kα. Structure: the PBE geometry in Alexandria.
Lines closer than 0.1° are merged.

Top 10 peaks for 2θ from 10° to 90°, most intense first:
2theta  I_rel  h k l
28.79  1000  1 0 5
41.17  752  2 0 0
67.55  337  3 0 5
51.01  266  2 2 0
75.03  249  3 2 5
59.63  124  2 0 10
89.36  82  4 0 0
14.85  12  0 1 1
24.87  9  1 1 0
18.77  7  0 1 3

Cell and atoms:
Unit cell a=4.386 b=6.200 c=21.927 alpha=90.00 beta=90.00 gamma=90.00
Space group Immm (No. 71)
One atom of each set of equivalent atoms:
Y  0.000  0.000  0.100
Y  0.000  0.000  0.300
Ho  0.000  0.000  0.500
Sb  0.000  0.500  0.099
Sb  0.000  0.500  0.300
Sb  0.000  0.500  0.500

(2)
This entry pairs a crystal structure of Ho5ZnSb4 with its simulated X-ray diffraction stick pattern. Radiation: copper Kα. Structure: the PBE geometry in Alexandria.
Lines closer than 0.1° are merged.

Top 10 peaks for 2θ from 10° to 90°, most intense first:
2theta  I_rel  h k l
29.15  1000  0 0 2
41.69  758  3 1 2
51.67  270  2 4 2
76.10  255  2 4 4
68.44  230  6 2 2
68.54  115  3 1 4
60.39  84  6 2 0
25.17  67  1 2 1
60.50  42  0 0 4
49.32  36  1 2 3

Cell and atoms:
Unit cell a=9.694 b=9.694 c=6.121 alpha=90.00 beta=90.00 gamma=90.00
Space group I4 (No. 79)
One atom of each set of equivalent atoms:
Ho  0.000  0.000  0.000
Ho  0.104  0.697  0.499
Zn  0.000  0.000  0.500
Sb  0.099  0.700  0.999

(3)
This entry pairs a crystal structure of Ho3ZrSb4 with its simulated X-ray diffraction stick pattern. Radiation: copper Kα. Structure: the PBE geometry in Alexandria.
Lines closer than 0.1° are merged.

Top 10 peaks for 2θ from 10° to 90°, most intense first:
2theta  I_rel  h k l
29.36  1000  1 2 1
41.95  377  0 4 0
42.07  375  1 2 -3
52.03  200  2 4 -2
69.14  169  0 4 4
60.92  123  2 4 2
68.93  113  1 6 1
76.74  104  4 4 -4
76.62  84  1 6 -3
52.24  66  0 0 4

Cell and atoms:
Unit cell a=7.454 b=8.623 c=7.432 alpha=90.00 beta=109.54 gamma=90.00
Space group P2/c (No. 13)
One atom of each set of equivalent atoms:
Ho  0.000  0.125  0.250
Ho  0.000  0.375  0.750
Ho  0.500  0.125  0.750
Zr  0.500  0.376  0.250
Sb  0.255  0.130  0.005
Sb  0.259  0.379  0.500

(4)
This entry pairs a crystal structure of HoZr3Sb2 with its simulated X-ray diffraction stick pattern. Radiation: copper Kα. Structure: the PBE geometry in Alexandria.
Lines closer than 0.1° are merged.

Top 10 peaks for 2θ from 10° to 90°, most intense first:
2theta  I_rel  h k l
33.77  1000  5 1 -1
35.78  983  6 0 -3
30.68  693  3 1 -2
38.10  635  1 1 -3
33.17  541  1 1 2
45.04  524  0 2 0
32.31  499  3 1 1
29.89  437  1 1 -2
37.21  432  4 0 2
40.00  280  5 1 -3

Cell and atoms:
Unit cell a=17.659 b=4.026 c=9.063 alpha=90.00 beta=114.60 gamma=90.00
Space group C2/m (No. 12)
One atom of each set of equivalent atoms:
Ho  0.112  0.000  0.122
Zr  0.058  0.000  0.659
Zr  0.148  0.500  0.478
Zr  0.186  0.500  0.896
Sb  0.009  0.500  0.831
Sb  0.246  0.000  0.723

(5)
This entry pairs a crystal structure of Ho4Sc5 with its simulated X-ray diffraction stick pattern. Radiation: copper Kα. Structure: the PBE geometry in Alexandria.
Lines closer than 0.1° are merged.

Top 10 peaks for 2θ from 10° to 90°, most intense first:
2theta  I_rel  h k l
32.46  1000  3 0 1
37.75  328  3 3 0
12.38  254  1 1 0
64.84  254  6 3 1
27.09  254  2 1 1
54.25  225  3 3 2
37.48  170  0 0 2
64.47  133  3 0 3
67.98  111  6 0 2
54.45  110  6 0 0

Cell and atoms:
Unit cell a=10.110 b=10.110 c=4.799 alpha=90.00 beta=90.00 gamma=90.00
Space group I4/mmm (No. 139)
One atom of each set of equivalent atoms:
Ho  0.000  0.326  0.000
Sc  0.000  0.000  0.000
Sc  0.164  0.164  0.500

(6)
This entry pairs a crystal structure of Ho3Sc13 with its simulated X-ray diffraction stick pattern. Radiation: copper Kα. Structure: the PBE geometry in Alexandria.
Lines closer than 0.1° are merged.

Top 10 peaks for 2θ from 10° to 90°, most intense first:
2theta  I_rel  h k l
35.23  1000  2 2 2
30.67  311  0 0 4
11.36  306  0 1 1
34.24  232  0 4 0
46.62  194  0 4 4
61.95  178  2 6 2
66.02  146  2 4 6
54.57  138  2 0 6
16.93  137  0 2 0
28.86  97  2 1 1

Cell and atoms:
Unit cell a=6.742 b=10.476 c=11.646 alpha=90.00 beta=90.00 gamma=90.00
Space group Amm2 (No. 38)
One atom of each set of equivalent atoms:
Ho  0.000  0.000  0.000
Ho  0.253  0.000  0.256
Sc  0.000  0.000  0.506
Sc  0.000  0.247  0.834
Sc  0.251  0.000  0.750
Sc  0.252  0.245  0.585
Sc  0.500  0.000  0.506
Sc  0.500  0.000  0.999
Sc  0.500  0.242  0.836

(7)
This entry pairs a crystal structure of Ho13Sc3 with its simulated X-ray diffraction stick pattern. Radiation: copper Kα. Structure: the PBE geometry in Alexandria.
Lines closer than 0.1° are merged.

Top 10 peaks for 2θ from 10° to 90°, most intense first:
2theta  I_rel  h k l
33.36  1000  2 2 2
29.04  256  0 0 4
32.49  235  0 4 0
58.52  196  2 6 2
44.12  164  0 4 4
62.23  149  2 4 6
51.51  137  2 0 6
62.69  106  4 2 4
85.41  92  4 2 8
62.13  73  4 4 0

Cell and atoms:
Unit cell a=7.112 b=11.025 c=12.284 alpha=90.00 beta=90.00 gamma=90.00
Space group Amm2 (No. 38)
One atom of each set of equivalent atoms:
Ho  0.000  0.000  0.000
Ho  0.000  0.000  0.503
Ho  0.000  0.243  0.671
Ho  0.251  0.000  0.250
Ho  0.252  0.246  0.919
Ho  0.500  0.000  0.504
Ho  0.500  0.247  0.669
Sc  0.253  0.000  0.755
Sc  0.500  0.000  0.998

(8)
This entry pairs a crystal structure of Ho4Sc with its simulated X-ray diffraction stick pattern. Radiation: copper Kα. Structure: the PBE geometry in Alexandria.
Lines closer than 0.1° are merged.

Top 10 peaks for 2θ from 10° to 90°, most intense first:
2theta  I_rel  h k l
32.26  1000  1 5 0
31.38  758  1 1 1
35.15  477  1 3 1
33.48  468  2 0 0
63.60  414  1 5 2
34.16  313  0 4 1
10.91  245  0 2 0
28.16  236  0 2 1
48.58  231  2 4 1
42.51  184  0 6 1

Cell and atoms:
Unit cell a=5.353 b=16.223 c=3.443 alpha=90.00 beta=90.00 gamma=90.00
Space group Cmmm (No. 65)
One atom of each set of equivalent atoms:
Ho  0.000  0.108  0.000
Ho  0.000  0.303  0.500
Sc  0.000  0.500  0.500

(9)
This entry pairs a crystal structure of Ho2Sc7 with its simulated X-ray diffraction stick pattern. Radiation: copper Kα. Structure: the PBE geometry in Alexandria.
Lines closer than 0.1° are merged.

Top 10 peaks for 2θ from 10° to 90°, most intense first:
2theta  I_rel  h k l
33.08  1000  1 1 1
38.38  498  2 -1 2
66.07  357  4 -2 1
10.89  350  0 0 1
55.41  320  3 0 0
20.94  142  1 0 1
31.13  106  1 1 0
69.41  106  2 2 2
21.89  97  0 0 2
17.83  96  1 0 0

Cell and atoms:
Unit cell a=5.7455 b=5.7455 c=8.1209 alpha=90.00 beta=90.00 gamma=120.00
Space group P-31m (No. 162)
One atom of each set of equivalent atoms:
Ho  0.3333  0.6667  0.0000
Sc  0.0000  0.0000  0.0000
Sc  0.0000  0.3310  0.6607

(10)
This entry pairs a crystal structure of Ho3Sc4 with its simulated X-ray diffraction stick pattern. Radiation: copper Kα. Structure: the PBE geometry in Alexandria.
Lines closer than 0.1° are merged.

Top 10 peaks for 2θ from 10° to 90°, most intense first:
2theta  I_rel  h k l
32.52  1000  1 1 0
37.34  341  1 0 7
19.33  273  0 1 1
64.32  267  2 1 7
54.70  221  1 2 7
38.48  157  0 2 0
26.42  131  1 0 1
65.86  125  1 3 0
68.10  112  2 2 0
22.39  98  0 0 6

Cell and atoms:
Unit cell a=3.408 b=4.679 c=23.824 alpha=90.00 beta=90.00 gamma=90.00
Space group Immm (No. 71)
One atom of each set of equivalent atoms:
Ho  0.000  0.000  0.000
Ho  0.000  0.000  0.144
Sc  0.000  0.000  0.284
Sc  0.000  0.000  0.428

(11)
This entry pairs a crystal structure of Ho7Sc2 with its simulated X-ray diffraction stick pattern. Radiation: copper Kα. Structure: the PBE geometry in Alexandria.
Lines closer than 0.1° are merged.

Top 10 peaks for 2θ from 10° to 90°, most intense first:
2theta  I_rel  h k l
31.61  1000  1 1 1
36.66  497  2 -1 2
52.82  354  3 0 0
62.85  306  4 -2 1
62.94  99  2 -1 5
86.47  89  4 1 1
65.98  89  2 2 2
10.43  82  0 0 1
89.32  82  5 -1 2
89.45  77  3 0 6

Cell and atoms:
Unit cell a=6.0084 b=6.0084 c=8.4780 alpha=90.00 beta=90.00 gamma=120.00
Space group P-31m (No. 162)
One atom of each set of equivalent atoms:
Ho  0.0000  0.0000  0.0000
Ho  0.0000  0.3356  0.6720
Sc  0.3333  0.6667  0.0000

(12)
This entry pairs a crystal structure of HoSc5 with its simulated X-ray diffraction stick pattern. Radiation: copper Kα. Structure: the PBE geometry in Alexandria.
Lines closer than 0.1° are merged.

Top 10 peaks for 2θ from 10° to 90°, most intense first:
2theta  I_rel  h k l
33.24  1000  2 0 0
38.62  326  1 3 1
55.66  266  2 0 2
66.46  181  3 3 1
18.75  179  1 1 0
38.48  165  2 0 -2
21.01  143  1 1 -1
16.42  122  0 0 1
24.43  102  0 2 1
17.95  96  0 2 0

Cell and atoms:
Unit cell a=5.724 b=9.881 c=5.729 alpha=90.00 beta=109.61 gamma=90.00
Space group P2_1/m (No. 11)
One atom of each set of equivalent atoms:
Ho  0.249  0.250  0.000
Sc  0.250  0.081  0.500
Sc  0.250  0.583  0.000
Sc  0.250  0.750  0.500

(13)
This entry pairs a crystal structure of Ho3Sc2 with its simulated X-ray diffraction stick pattern. Radiation: copper Kα. Structure: the PBE geometry in Alexandria.
Lines closer than 0.1° are merged.

Top 10 peaks for 2θ from 10° to 90°, most intense first:
2theta  I_rel  h k l
34.00  1000  1 1 -3
29.62  241  0 2 0
33.02  240  4 0 -2
63.47  213  2 0 -6
59.60  192  5 1 -5
52.55  191  2 0 4
18.41  153  1 1 -1
44.94  151  4 2 -2
64.05  100  0 2 5
21.43  90  0 0 2

Cell and atoms:
Unit cell a=11.399 b=6.027 c=8.835 alpha=90.00 beta=110.08 gamma=90.00
Space group C2/c (No. 15)
One atom of each set of equivalent atoms:
Ho  0.000  0.175  0.250
Ho  0.195  0.168  0.649
Sc  0.102  0.335  0.951